# 1
Structure and computed powder diffraction line list of MgURu2 (the PBE geometry in the Materials Project; a wavelength of 1.5418 Å).
Peak positions follow from Bragg's law for the DFT cell and can differ from measured ones.

Largest 10 diffraction maxima, sorted by position, 10° ≤ 2θ ≤ 90°:
2θ = 23.61°, I = 46, hkl 1 1 1
2θ = 27.33°, I = 1, hkl 2 0 0
2θ = 39.03°, I = 100, hkl 2 2 0
2θ = 46.13°, I = 24, hkl 3 1 1
2θ = 56.39°, I = 17, hkl 4 0 0
2θ = 61.98°, I = 11, hkl 3 3 1
2θ = 70.71°, I = 35, hkl 4 2 2
2θ = 75.72°, I = 8, hkl 5 1 1
2θ = 83.85°, I = 11, hkl 4 4 0
2θ = 88.66°, I = 9, hkl 5 3 1

```
data_MgURu2
_chemical_formula_sum 'Mg4 U4 Ru8'
_space_group_name_H-M_alt 'F m -3 m'
_space_group_IT_number 225
_space_group_name_Hall '-F 4 2 3'
_cell_length_a 6.5266
_cell_length_b 6.5266
_cell_length_c 6.5266
_cell_angle_alpha 90.00
_cell_angle_beta 90.00
_cell_angle_gamma 90.00
loop_
_atom_site_label
_atom_site_fract_x
_atom_site_fract_y
_atom_site_fract_z
_atom_site_occupancy
Mg1 0.0000 0.0000 0.0000 1
U1 0.0000 0.0000 0.5000 1
Ru1 0.2500 0.2500 0.2500 1
```


# 2
Structure and computed powder diffraction line list of MgS (the PBE geometry in the Materials Project; a wavelength of 1.5418 Å).
Peak positions follow from Bragg's law for the DFT cell and can differ from measured ones.

Largest 7 diffraction maxima, sorted by position, 10° ≤ 2θ ≤ 90°:
2θ = 29.59°, I = 4, hkl 1 1 1
2θ = 34.30°, I = 100, hkl 2 0 0
2θ = 49.29°, I = 65, hkl 2 2 0
2θ = 58.55°, I = 1, hkl 3 1 1
2θ = 61.42°, I = 22, hkl 2 2 2
2θ = 72.28°, I = 10, hkl 4 0 0
2θ = 82.50°, I = 27, hkl 4 2 0

```
data_MgS
_chemical_formula_sum 'Mg4 S4'
_space_group_name_H-M_alt 'F m -3 m'
_space_group_IT_number 225
_space_group_name_Hall '-F 4 2 3'
_cell_length_a 5.2290
_cell_length_b 5.2290
_cell_length_c 5.2290
_cell_angle_alpha 90.00
_cell_angle_beta 90.00
_cell_angle_gamma 90.00
loop_
_atom_site_label
_atom_site_fract_x
_atom_site_fract_y
_atom_site_fract_z
_atom_site_occupancy
Mg1 0.0000 0.0000 0.0000 1
S1 0.0000 0.0000 0.5000 1
```


# 3
Structure and computed powder diffraction line list of MgS3 (the PBE geometry in the Materials Project; a wavelength of 1.5418 Å).
Peak positions follow from Bragg's law for the DFT cell and can differ from measured ones.

Largest 10 diffraction maxima, sorted by position, 10° ≤ 2θ ≤ 90°:
2θ = 24.35°, I = 30, hkl 0 0 1
2θ = 30.20°, I = 26, hkl 0 1 1
2θ = 32.77°, I = 100, hkl 1 0 1
2θ = 35.62°, I = 58, hkl 0 2 0
2θ = 43.62°, I = 10, hkl 0 2 1
2θ = 43.99°, I = 30, hkl 2 0 0
2θ = 49.17°, I = 56, hkl 1 2 1
2θ = 57.84°, I = 25, hkl 2 2 0
2θ = 58.19°, I = 12, hkl 1 1 2
2θ = 84.69°, I = 23, hkl 3 2 1

```
data_MgS3
_chemical_formula_sum 'Mg1 S3'
_space_group_name_H-M_alt 'P m m 2'
_space_group_IT_number 25
_cell_length_a 4.1166
_cell_length_b 5.0408
_cell_length_c 3.6549
_cell_angle_alpha 90.00
_cell_angle_beta 90.00
_cell_angle_gamma 90.00
loop_
_space_group_symop_operation_xyz
'x,y,z'
'-x,-y,z'
'-x,y,z'
'x,-y,z'
loop_
_atom_site_label
_atom_site_fract_x
_atom_site_fract_y
_atom_site_fract_z
_atom_site_occupancy
Mg1 0.0000 0.0000 0.0000 1
S1 0.0000 0.5000 0.1958 1
S2 0.5000 0.0000 0.5027 1
S3 0.5000 0.5000 0.4364 1
```


# 4
Structure and computed powder diffraction line list of MgS (the PBE geometry in the Materials Project; a wavelength of 1.5418 Å).
Peak positions follow from Bragg's law for the DFT cell and can differ from measured ones.

Largest 8 diffraction maxima, sorted by position, 10° ≤ 2θ ≤ 90°:
2θ = 27.10°, I = 100, hkl 1 1 1
2θ = 31.40°, I = 2, hkl 2 0 0
2θ = 45.00°, I = 65, hkl 2 2 0
2θ = 53.32°, I = 39, hkl 3 1 1
2θ = 65.53°, I = 10, hkl 4 0 0
2θ = 72.28°, I = 15, hkl 3 3 1
2θ = 83.03°, I = 20, hkl 4 2 2
2θ = 89.34°, I = 12, hkl 5 1 1

```
data_MgS
_chemical_formula_sum 'Mg4 S4'
_space_group_name_H-M_alt 'F -4 3 m'
_space_group_IT_number 216
_space_group_name_Hall 'F -4 2 3'
_cell_length_a 5.6981
_cell_length_b 5.6981
_cell_length_c 5.6981
_cell_angle_alpha 90.00
_cell_angle_beta 90.00
_cell_angle_gamma 90.00
loop_
_atom_site_label
_atom_site_fract_x
_atom_site_fract_y
_atom_site_fract_z
_atom_site_occupancy
Mg1 0.0000 0.0000 0.0000 1
S1 0.2500 0.2500 0.7500 1
```


# 5
Structure and computed powder diffraction line list of MgS (the PBE geometry in the Materials Project; a wavelength of 1.5418 Å).
Peak positions follow from Bragg's law for the DFT cell and can differ from measured ones.

Largest 10 diffraction maxima, sorted by position, 10° ≤ 2θ ≤ 90°:
2θ = 25.39°, I = 100, hkl 1 0 0
2θ = 27.45°, I = 58, hkl 0 0 2
2θ = 28.92°, I = 63, hkl 1 0 1
2θ = 37.73°, I = 35, hkl 1 0 2
2θ = 44.74°, I = 76, hkl 1 1 0
2θ = 49.45°, I = 68, hkl 1 0 3
2θ = 53.29°, I = 47, hkl 1 1 2
2θ = 68.87°, I = 24, hkl 2 0 3
2θ = 78.47°, I = 18, hkl 1 0 5
2θ = 85.94°, I = 26, hkl 2 1 3

```
data_MgS
_chemical_formula_sum 'Mg2 S2'
_space_group_name_H-M_alt 'P 63 m c'
_space_group_IT_number 186
_space_group_name_Hall 'P 6c -2c'
_cell_length_a 4.0511
_cell_length_b 4.0511
_cell_length_c 6.4989
_cell_angle_alpha 90.00
_cell_angle_beta 90.00
_cell_angle_gamma 120.00
loop_
_atom_site_label
_atom_site_fract_x
_atom_site_fract_y
_atom_site_fract_z
_atom_site_occupancy
Mg1 0.3333 0.6667 0.0000 1
S1 0.3333 0.6667 0.3803 1
```


# 6
Structure and computed powder diffraction line list of MgScTiS4 (the PBE geometry in the Materials Project; a wavelength of 1.5418 Å).
Peak positions follow from Bragg's law for the DFT cell and can differ from measured ones.

Largest 10 diffraction maxima, sorted by position, 10° ≤ 2θ ≤ 90°:
2θ = 14.46°, I = 32, hkl 1 1 0
2θ = 14.69°, I = 18, hkl 0 0 1
2θ = 27.97°, I = 31, hkl 0 2 1
2θ = 28.15°, I = 12, hkl 2 0 1
2θ = 28.32°, I = 23, hkl 1 1 -2
2θ = 34.07°, I = 100, hkl 2 2 -2
2θ = 44.59°, I = 23, hkl 5 1 0
2θ = 48.37°, I = 17, hkl 0 4 0
2θ = 48.94°, I = 67, hkl 2 2 2
2θ = 49.61°, I = 17, hkl 4 0 -4

```
data_MgScTiS4
_chemical_formula_sum 'Mg4 Sc4 Ti4 S16'
_space_group_name_H-M_alt 'C 1 2/m 1'
_space_group_IT_number 12
_cell_length_a 12.8392
_cell_length_b 7.5265
_cell_length_c 7.3503
_cell_angle_alpha 90.00
_cell_angle_beta 124.83
_cell_angle_gamma 90.00
loop_
_space_group_symop_operation_xyz
'x,y,z'
'-x,-y,-z'
'-x,y,-z'
'x,-y,z'
'x+1/2,y+1/2,z'
'-x+1/2,-y+1/2,-z'
'-x+1/2,y+1/2,-z'
'x+1/2,-y+1/2,z'
loop_
_atom_site_label
_atom_site_fract_x
_atom_site_fract_y
_atom_site_fract_z
_atom_site_occupancy
Mg1 0.1237 0.0000 0.3740 1
Sc1 0.2500 0.2500 0.0000 1
Ti1 0.0000 0.5000 0.0000 1
Ti2 0.0000 0.5000 0.5000 1
S1 0.0040 0.2721 0.7541 1
S2 0.2360 0.5000 0.2239 1
S3 0.2362 0.5000 0.7480 1
```